Entry 1:
Theoretical X-ray diffraction stick pattern
Compound: EuPu2C
Radiation: Cu Kα, 1.54184 Å
Structure: a PBE-relaxed structure
Peak positions follow from Bragg's law for the DFT cell and can differ from measured ones.

abc: 3.2016 3.2016 8.9737
angles: 90.00 90.00 90.00
Space group P4/mmm (No. 123)
Asymmetric unit:
Eu (0.0000, 0.0000, 0.0000) [1 per cell]
Pu (0.5000, 0.5000, 0.3494) [2 per cell]
C (0.0000, 0.0000, 0.5000) [1 per cell]

Top 12 peaks for 15 to 90 degrees two-theta, in order of falling intensity:
(1 0 1), 29.6°, rel. 100; (1 1 0), 39.8°, rel. 53; (0 0 3), 29.9°, rel. 49; (1 1 3), 50.6°, rel. 47; (1 0 4), 49.6°, rel. 41; (1 0 2), 34.4°, rel. 38; (1 0 0), 27.9°, rel. 31; (1 0 3), 41.3°, rel. 22; (2 1 1), 66.1°, rel. 21; (2 0 3), 66.2°, rel. 21; (2 1 4), 79.4°, rel. 21; (2 0 0), 57.6°, rel. 18

Entry 2:
Theoretical X-ray diffraction stick pattern
Compound: HoErCd14
Radiation: Cu Kα, 1.54184 Å
Structure: a PBE-relaxed structure
Peak positions follow from Bragg's law for the DFT cell and can differ from measured ones.

abc: 6.5721 6.5721 8.5079
angles: 90.00 90.00 90.00
Space group P4/mmm (No. 123)
Asymmetric unit:
Ho (0.0000, 0.0000, 0.0000) [1 per cell]
Er (0.5000, 0.5000, 0.0000) [1 per cell]
Cd (0.0000, 0.0000, 0.5000) [1 per cell]
Cd (0.0000, 0.5000, 0.0000) [2 per cell]
Cd (0.0000, 0.5000, 0.5000) [2 per cell]
Cd (0.2503, 0.2503, 0.2569) [8 per cell]
Cd (0.5000, 0.5000, 0.5000) [1 per cell]

Top 12 peaks for 15 to 90 degrees two-theta, in order of falling intensity:
(2 0 2), 34.5°, rel. 100; (2 2 0), 38.8°, rel. 36; (4 2 2), 67.4°, rel. 27; (2 2 4), 58.9°, rel. 20; (0 0 4), 42.5°, rel. 14; (4 0 0), 56.0°, rel. 12; (4 0 4), 72.7°, rel. 11; (2 0 6), 72.6°, rel. 10; (4 4 0), 83.1°, rel. 4; (1 1 1), 21.8°, rel. 1; (2 0 1), 29.1°, rel. 1; (1 1 0), 19.1°, rel. 1

Entry 3:
Theoretical X-ray diffraction stick pattern
Compound: LiCePd2
Radiation: Cu Kα, 1.54184 Å
Structure: a PBE-relaxed structure
Peak positions follow from Bragg's law for the DFT cell and can differ from measured ones.

abc: 7.2037 7.0516 5.7311
angles: 90.00 90.00 90.00
Space group Pnma (No. 62)
Asymmetric unit:
Li (0.1019, 0.2500, 0.1528) [4 per cell]
Ce (0.0252, 0.7500, 0.3563) [4 per cell]
Pd (0.1939, 0.5430, 0.9154) [8 per cell]

Top 12 peaks for 15 to 90 degrees two-theta, in order of falling intensity:
(2 2 0), 35.6°, rel. 100; (1 2 1), 32.3°, rel. 66; (1 1 2), 36.1°, rel. 61; (1 0 2), 33.7°, rel. 60; (2 1 1), 32.0°, rel. 55; (3 0 1), 40.7°, rel. 52; (0 1 1), 20.0°, rel. 32; (1 3 1), 43.5°, rel. 31; (0 3 1), 41.5°, rel. 29; (1 2 2), 42.5°, rel. 29; (3 3 2), 64.3°, rel. 26; (1 5 2), 76.5°, rel. 22

Entry 4:
Theoretical X-ray diffraction stick pattern
Compound: MgVCrS4
Radiation: Cu Kα, 1.54184 Å
Structure: a PBE-relaxed structure
Peak positions follow from Bragg's law for the DFT cell and can differ from measured ones.

abc: 7.0910 7.2519 10.3662
angles: 90.00 90.00 90.00
Space group Imm2 (No. 44)
Asymmetric unit:
Mg (0.0000, 0.0000, 0.0000) [2 per cell]
Mg (0.0000, 0.5000, 0.2542) [2 per cell]
V (0.2315, 0.5000, 0.8704) [4 per cell]
Cr (0.0000, 0.2456, 0.6158) [4 per cell]
S (0.0000, 0.2187, 0.3831) [4 per cell]
S (0.0000, 0.2603, 0.8513) [4 per cell]
S (0.2211, 0.5000, 0.6335) [4 per cell]
S (0.2319, 0.0000, 0.6051) [4 per cell]

Top 12 peaks for 15 to 90 degrees two-theta, in order of falling intensity:
(0 4 0), 50.3°, rel. 100; (2 2 0), 35.4°, rel. 82; (1 0 1), 15.1°, rel. 50; (0 0 4), 34.6°, rel. 43; (1 2 1), 29.0°, rel. 33; (2 1 1), 29.3°, rel. 28; (1 0 5), 45.5°, rel. 21; (3 2 1), 46.7°, rel. 20; (4 0 0), 51.6°, rel. 18; (2 3 1), 46.3°, rel. 17; (1 0 3), 28.7°, rel. 14; (0 1 3), 28.6°, rel. 12

Entry 5:
Theoretical X-ray diffraction stick pattern
Compound: Er3CoSb2
Radiation: Cu Kα, 1.54184 Å
Structure: a PBE-relaxed structure
Peak positions follow from Bragg's law for the DFT cell and can differ from measured ones.

abc: 11.7078 4.2824 11.6557
angles: 90.00 90.00 90.00
Space group Pnma (No. 62)
Asymmetric unit:
Er (0.0580, 0.2500, 0.1269) [4 per cell]
Er (0.1163, 0.7500, 0.5505) [4 per cell]
Er (0.2320, 0.2500, 0.7934) [4 per cell]
Co (0.1273, 0.2500, 0.3576) [4 per cell]
Sb (0.0090, 0.7500, 0.3086) [4 per cell]
Sb (0.1933, 0.7500, 0.9931) [4 per cell]

Top 12 peaks for 15 to 90 degrees two-theta, in order of falling intensity:
(0 1 3), 31.1°, rel. 100; (3 1 1), 32.0°, rel. 73; (0 2 0), 42.2°, rel. 66; (2 1 2), 30.1°, rel. 64; (4 1 1), 38.0°, rel. 63; (4 0 2), 34.3°, rel. 63; (3 1 2), 34.7°, rel. 55; (2 1 4), 40.5°, rel. 49; (3 0 2), 27.5°, rel. 43; (7 0 1), 55.5°, rel. 42; (2 1 1), 26.9°, rel. 41; (5 1 3), 50.3°, rel. 31

Entry 6:
Theoretical X-ray diffraction stick pattern
Compound: Dy2Si3Rh
Radiation: Cu Kα, 1.54184 Å
Structure: a PBE-relaxed structure
Peak positions follow from Bragg's law for the DFT cell and can differ from measured ones.

abc: 8.1728 8.1728 7.8936
angles: 90.00 90.00 120.00
Space group P6_3/mmc (No. 194)
Asymmetric unit:
Dy (0.0000, 0.0000, 0.2500) [2 per cell]
Dy (0.0163, 0.5081, 0.2500) [6 per cell]
Si (0.1667, 0.3334, 0.5006) [12 per cell]
Rh (0.3333, 0.6667, 0.5303) [4 per cell]

Top 12 peaks for 15 to 90 degrees two-theta, in order of falling intensity:
(2 0 2), 34.0°, rel. 100; (2 2 0), 44.3°, rel. 36; (2 0 0), 25.2°, rel. 31; (4 0 2), 57.0°, rel. 22; (2 2 4), 65.8°, rel. 20; (4 2 2), 75.0°, rel. 19; (0 0 4), 46.0°, rel. 10; (2 0 4), 53.1°, rel. 10; (2 0 6), 77.4°, rel. 8; (6 0 0), 81.6°, rel. 6; (1 1 0), 21.7°, rel. 6; (0 0 2), 22.5°, rel. 5

Entry 7:
Theoretical X-ray diffraction stick pattern
Compound: Rb2NdMnSe4
Radiation: Cu Kα, 1.54184 Å
Structure: a PBE-relaxed structure
Peak positions follow from Bragg's law for the DFT cell and can differ from measured ones.

abc: 8.4987 8.8941 12.8674
angles: 90.00 90.00 90.00
Space group Imma (No. 74)
Asymmetric unit:
Rb (0.0000, 0.0000, 0.0000) [4 per cell]
Rb (0.2500, 0.2500, 0.2500) [4 per cell]
Nd (0.0000, 0.0000, 0.5000) [4 per cell]
Mn (0.2500, 0.2500, 0.7500) [4 per cell]
Se (0.0000, 0.0691, 0.7390) [8 per cell]
Se (0.2239, 0.2500, 0.5113) [8 per cell]

Top 12 peaks for 15 to 90 degrees two-theta, in order of falling intensity:
(2 2 0), 29.1°, rel. 100; (2 2 4), 40.6°, rel. 90; (0 0 4), 27.7°, rel. 66; (4 0 4), 51.6°, rel. 21; (4 0 0), 42.6°, rel. 20; (2 2 8), 65.5°, rel. 17; (0 4 4), 49.9°, rel. 14; (4 0 8), 73.9°, rel. 11; (4 4 4), 67.6°, rel. 10; (6 2 4), 76.6°, rel. 9; (2 4 2), 48.3°, rel. 8; (0 0 8), 57.3°, rel. 7

Entry 8:
Theoretical X-ray diffraction stick pattern
Compound: Rb2V2PbS7
Radiation: Cu Kα, 1.54184 Å
Structure: a PBE-relaxed structure
Peak positions follow from Bragg's law for the DFT cell and can differ from measured ones.

abc: 6.6883 6.6883 28.0243
angles: 90.00 90.00 120.00
Space group R32 (No. 155, hexagonal axes)
Asymmetric unit:
Rb (0.0000, 0.0000, 0.1775) [6 per cell]
V (0.0000, 0.0000, 0.4211) [6 per cell]
Pb (0.0000, 0.0000, 0.0000) [3 per cell]
S (0.0000, 0.0000, 0.5000) [3 per cell]
S (0.0067, 0.3099, 0.6000) [18 per cell]

Top 12 peaks for 15 to 90 degrees two-theta, in order of falling intensity:
(0 1 5), 22.1°, rel. 100; (1 1 0), 26.7°, rel. 78; (1 1 6), 32.9°, rel. 72; (0 1 2), 16.6°, rel. 47; (3 0 0), 47.1°, rel. 38; (1 1 12), 47.5°, rel. 36; (1 0 7), 27.1°, rel. 29; (1 2 5), 44.4°, rel. 27; (2 0 5), 34.9°, rel. 23; (1 0 1), 15.6°, rel. 23; (0 0 12), 38.6°, rel. 22; (1 0 10), 35.6°, rel. 17